Cu4Ag3: calculated X-ray powder pattern (Cu Ka), based on DFT lattice parameters and positions (GGA-PBE).

Cell and atoms:
Cell lengths 15.5411, 15.5411, 15.5411 Å; angles 10.20, 10.20, 10.20 degrees
Sites, in units of the cell vectors:
1 Cu 0.0000 0.0000 0.0000
2 Cu 0.1399 0.1399 0.1399
3 Cu 0.2905 0.2905 0.2905
4 Cu 0.7094 0.7094 0.7094
5 Ag 0.4247 0.4247 0.4247
6 Ag 0.5754 0.5754 0.5754
7 Ag 0.8547 0.8547 0.8547

Largest 12 diffraction maxima, low angle first, 2θ = 5–70°:
5.7°, intensity 9; 11.4°, intensity 3; 23.0°, intensity 4; 34.8°, intensity 6; 38.4°, intensity 3; 40.1°, intensity 100; 40.9°, intensity 27; 43.5°, intensity 5; 46.8°, intensity 58; 63.4°, intensity 5; 67.8°, intensity 20; 68.9°, intensity 13